# 1
Structure and computed powder diffractogram of Sr4LiSm2Ta2O12 (a DFT-relaxed cell (GGA-PBE, Alexandria); Cu Kα).
Neutral-atom scattering factors, no anomalous dispersion.

Largest 6 diffraction maxima, low angle first, 5 to 70 degrees two-theta:
28.9 deg, I = 44; 29.5 deg, I = 45; 29.9 deg, I = 47; 30.1 deg, I = 100; 30.6 deg, I = 48; 42.9 deg, I = 46

Structure:
abc: 5.8459 6.1761 8.4281
angles: 88.97 89.43 89.28
Space group P1 (No. 1)
Asymmetric unit:
1 Sr 0.0000 0.0000 0.0000 x1
2 Sr 0.0446 0.1453 0.5289 x1
3 Sr 0.5156 0.6478 0.5299 x1
4 Sr 0.5681 0.5528 0.0306 x1
5 Li 0.1808 0.3275 0.1183 x1
6 Sm 0.0311 0.5812 0.7765 x1
7 Sm 0.5475 0.1024 0.2801 x1
8 Ta 0.0338 0.6158 0.2901 x1
9 Ta 0.5200 0.0965 0.7770 x1
10 O 0.1264 0.6156 0.0469 x1
11 O 0.2249 0.8700 0.3330 x1
12 O 0.2460 0.9022 0.7401 x1
13 O 0.3161 0.4108 0.3167 x1
14 O 0.3359 0.3620 0.7148 x1
15 O 0.4115 0.1479 0.0134 x1
16 O 0.6173 0.0623 0.5475 x1
17 O 0.7107 0.8217 0.8308 x1
18 O 0.7570 0.7903 0.2301 x1
19 O 0.7977 0.2821 0.8218 x1
20 O 0.8697 0.3197 0.2232 x1
21 O 0.9358 0.5664 0.5116 x1

# 2
Structure and computed powder diffractogram of LiAc6Sm (a DFT-relaxed cell (GGA-PBE, Alexandria); Cu Kα).
Neutral-atom scattering factors, no anomalous dispersion.

Largest 6 diffraction maxima, low angle first, 5 to 70 degrees two-theta:
28.3 deg, I = 100; 31.6 deg, I = 40; 35.2 deg, I = 12; 45.3 deg, I = 15; 48.0 deg, I = 21; 54.3 deg, I = 34

Structure:
abc: 5.6655 5.6655 20.3881
angles: 90.00 90.00 90.00
Space group I4/mmm (No. 139)
Asymmetric unit:
1 Li 0.0000 0.0000 0.0000 x2
2 Ac 0.0000 0.0000 0.2502 x4
3 Ac 0.0000 0.5000 0.1137 x8
4 Sm 0.0000 0.0000 0.5000 x2

# 3
Structure and computed powder diffractogram of RbAs2PdO8 (a DFT-relaxed cell (GGA-PBE, Alexandria); Cu Kα).
Neutral-atom scattering factors, no anomalous dispersion.

Largest 6 diffraction maxima, low angle first, 5 to 70 degrees two-theta:
10.1 deg, I = 18; 23.6 deg, I = 100; 33.6 deg, I = 18; 33.7 deg, I = 35; 54.5 deg, I = 18; 60.2 deg, I = 17

Structure:
abc: 5.3233 5.3233 26.2070
angles: 90.00 90.00 120.00
Space group R32 (No. 155, hexagonal axes)
Asymmetric unit:
1 Rb 0.0000 0.0000 0.0000 x3
2 As 0.0000 0.0000 0.2335 x6
3 Pd 0.0000 0.0000 0.5000 x3
4 O 0.0000 0.0000 0.2984 x6
5 O 0.0164 0.4182 0.1159 x18

# 4
Structure and computed powder diffractogram of K2SrMo (a DFT-relaxed cell (GGA-PBE, Alexandria); Cu Kα).
Neutral-atom scattering factors, no anomalous dispersion.

Largest 6 diffraction maxima, low angle first, 5 to 70 degrees two-theta:
27.0 deg, I = 100; 28.3 deg, I = 86; 28.4 deg, I = 44; 33.7 deg, I = 53; 44.6 deg, I = 47; 55.6 deg, I = 38

Structure:
abc: 3.8796 6.2910 7.2986
angles: 90.00 90.00 90.00
Space group Pmmm (No. 47)
Asymmetric unit:
1 K 0.0000 0.0000 0.2263 x2
2 Sr 0.5000 0.5000 0.5000 x1
3 Mo 0.5000 0.5000 0.0000 x1